Calculated powder XRD pattern of Sm2TmP3 for Cu Kα, 1.54184 Å, from a cell relaxed with GGA-PBE.
Lines closer than 0.1° are merged.

Main lines, low angle first (10 to 90 degrees two-theta):
Position (°2θ)  Rel. int.  hkl
26.94  85  0 1 1
31.21  100  1 0 2
44.72  73  1 1 0
52.99  42  2 0 1
55.54  25  0 2 2
73.96  33  2 1 2

Structural model:
abc: 4.0548 4.0548 9.9186
angles: 90.00 90.00 120.00
Space group P-3m1 (No. 164)
Asymmetric unit:
Sm 0.3333 0.6667 0.3293 x2
Tm 0.0000 0.0000 0.0000 x1
P 0.0000 0.0000 0.5000 x1
P 0.3333 0.6667 0.8418 x2